Record 1
Simulated X-ray powder pattern of Cd3Te for CuKα, from a crystal structure in Alexandria, relaxed with GGA-PBE.
Kinematic intensities with the Lorentz-polarization factor, no thermal factor.

Structure:
```
Cd3Te
1.0
4.6787 0.0000 0.0000
0.0000 4.6787 0.0000
0.0000 0.0000 4.6787
Cd Te
3 1
direct
0.0000 0.0000 0.5000
0.0000 0.5000 0.0000
0.5000 0.0000 0.0000
0.5000 0.5000 0.5000
```

Peak list (5 most intense, 5 to 70 degrees two-theta, in order of falling intensity)
2θ/deg	Rel. int.
33.16	100.0
38.48	49.7
66.25	38.0
55.56	33.0
69.61	10.9



Record 2
Simulated X-ray powder pattern of Cd5Te3 for CuKα, from a crystal structure in Alexandria, relaxed with GGA-PBE.
Kinematic intensities with the Lorentz-polarization factor, no thermal factor.

Structure:
```
Cd5Te3
1.0
4.0266 -6.1218 0.0000
4.0266 6.1218 0.0000
-2.5721 0.0000 10.7216
Cd Te
10 6
direct
0.0000 0.0000 0.0000
0.1214 0.3481 0.4620
0.2222 0.7916 0.2331
0.3481 0.1214 0.4620
0.5085 0.7377 0.4131
0.5127 0.5127 0.0177
0.5127 0.9688 0.7808
0.7377 0.5085 0.4131
0.7916 0.2222 0.2331
0.9688 0.5127 0.7808
0.0925 0.4372 0.0170
0.1423 0.7341 0.5982
0.4372 0.0925 0.0170
0.6803 0.6803 0.8169
0.7341 0.1423 0.5982
0.8270 0.8270 0.2099
```

Peak list (10 most intense, 5 to 70 degrees two-theta, in order of falling intensity)
2θ/deg	Rel. int.
23.35	100.0
29.86	95.6
29.65	83.1
42.14	63.2
38.69	59.2
30.37	55.3
24.84	53.1
33.72	51.5
31.27	49.3
25.92	49.0



Record 3
Simulated X-ray powder pattern of Cd4Te3 for CuKα, from a crystal structure in Alexandria, relaxed with GGA-PBE.
Kinematic intensities with the Lorentz-polarization factor, no thermal factor.

Structure:
```
Cd4Te3
1.0
6.1011 0.0000 0.0000
0.0000 6.1011 0.0000
0.0000 0.0000 6.1011
Cd Te
4 3
direct
0.0000 0.0000 0.0000
0.0000 0.5000 0.5000
0.5000 0.0000 0.5000
0.5000 0.5000 0.0000
0.0000 0.0000 0.5000
0.0000 0.5000 0.0000
0.5000 0.0000 0.0000
```

Peak list (10 most intense, 5 to 70 degrees two-theta, in order of falling intensity)
2θ/deg	Rel. int.
29.28	100.0
41.88	74.7
68.82	32.8
51.92	26.1
60.72	12.0
14.52	11.9
20.59	10.7
32.82	6.5
36.06	5.1
44.55	3.5



Record 4
Simulated X-ray powder pattern of Tl14Cd2Te9 for CuKα, from a crystal structure in Alexandria, relaxed with GGA-PBE.
Kinematic intensities with the Lorentz-polarization factor, no thermal factor.

Structure:
```
Tl14Cd2Te9
1.0
9.6583 0.0000 0.0000
-4.8292 8.3643 0.0000
0.0000 0.0000 12.3349
Tl Cd Te
14 2 9
direct
0.0000 0.0000 0.2256
0.0000 0.0000 0.7744
0.0105 0.6699 0.3994
0.1007 0.4262 0.1213
0.3256 0.8993 0.1213
0.3301 0.3406 0.3994
0.3406 0.0105 0.6006
0.4262 0.3256 0.8787
0.5738 0.6744 0.1213
0.6594 0.9895 0.3994
0.6699 0.6594 0.6006
0.6744 0.1007 0.8787
0.8993 0.5738 0.8787
0.9895 0.3301 0.6006
0.3333 0.6667 0.7735
0.6667 0.3333 0.2265
0.0000 0.0000 0.5000
0.1035 0.3617 0.8641
0.2582 0.8965 0.8641
0.3333 0.6667 0.5392
0.3617 0.2582 0.1359
0.6383 0.7418 0.8641
0.6667 0.3333 0.4608
0.7418 0.1035 0.1359
0.8965 0.6383 0.1359
```

Peak list (10 most intense, 5 to 70 degrees two-theta, in order of falling intensity)
2θ/deg	Rel. int.
23.40	100.0
34.51	84.7
32.10	81.1
29.16	78.8
28.23	54.1
35.83	40.3
21.61	29.4
40.88	29.1
57.77	25.1
28.95	24.3



Record 5
Simulated X-ray powder pattern of YCdTe for CuKα, from a crystal structure in Alexandria, relaxed with GGA-PBE.
Kinematic intensities with the Lorentz-polarization factor, no thermal factor.

Structure:
```
YCdTe
1.0
2.4140 1.3937 9.8054
-2.4140 1.3937 9.8054
0.0000 -2.7875 9.8054
Y Cd Te
2 2 2
direct
0.0641 0.0641 0.0641
0.9359 0.9359 0.9359
0.3295 0.3295 0.3295
0.6705 0.6705 0.6705
0.2246 0.2246 0.2246
0.7754 0.7754 0.7754
```

Peak list (10 most intense, 5 to 70 degrees two-theta, in order of falling intensity)
2θ/deg	Rel. int.
37.25	100.0
30.15	92.5
9.02	70.9
22.10	48.3
40.02	39.2
48.64	23.9
46.78	22.9
32.42	22.8
62.82	21.8
69.45	21.4



Record 6
Simulated X-ray powder pattern of ZnCdTe4 for CuKα, from a crystal structure in Alexandria, relaxed with GGA-PBE.
Kinematic intensities with the Lorentz-polarization factor, no thermal factor.

Structure:
```
ZnCdTe4
1.0
0.0000 4.5325 4.5325
4.5325 0.0000 4.5325
4.5325 4.5325 0.0000
Zn Cd Te
1 1 4
direct
0.0000 0.0000 0.0000
0.7500 0.7500 0.7500
0.3752 0.3752 0.3752
0.3752 0.3752 0.8745
0.3752 0.8745 0.3752
0.8745 0.3752 0.3752
```

Peak list (10 most intense, 5 to 70 degrees two-theta, in order of falling intensity)
2θ/deg	Rel. int.
32.77	100.0
34.27	50.2
52.45	34.4
57.51	31.2
68.68	19.5
27.84	18.5
16.94	17.0
67.79	11.7
39.77	9.6
49.24	7.4



Copy entry 6 word for word.
Simulated X-ray powder pattern of ZnCdTe4 for CuKα, from a crystal structure in Alexandria, relaxed with GGA-PBE.
Kinematic intensities with the Lorentz-polarization factor, no thermal factor.

Structure:
```
ZnCdTe4
1.0
0.0000 4.5325 4.5325
4.5325 0.0000 4.5325
4.5325 4.5325 0.0000
Zn Cd Te
1 1 4
direct
0.0000 0.0000 0.0000
0.7500 0.7500 0.7500
0.3752 0.3752 0.3752
0.3752 0.3752 0.8745
0.3752 0.8745 0.3752
0.8745 0.3752 0.3752
```

Peak list (10 most intense, 5 to 70 degrees two-theta, in order of falling intensity)
2θ/deg	Rel. int.
32.77	100.0
34.27	50.2
52.45	34.4
57.51	31.2
68.68	19.5
27.84	18.5
16.94	17.0
67.79	11.7
39.77	9.6
49.24	7.4



What is the formula in the fifth record? YCdTe